For BaMnO3, a crystal structure in the Materials Project, relaxed with PBE+U gives the simulated PXRD pattern in this record (Cu Kα X-rays).
Lines closer than 0.1° are merged.

Peak list (10 most intense, 2θ = 5–70°, by intensity)
index  d/Å  Position (°2θ)  intensity
1 1 0  2.867  31.20  100
1 0 2  3.413  26.11  77
2 0 2  2.195  41.12  52
1 0 3  2.649  33.83  43
2 0 3  1.946  46.68  29
2 1 3  1.610  57.22  21
2 2 0  1.433  65.08  19
3 0 0  1.655  55.53  19
2 1 2  1.743  52.51  18
0 0 4  2.350  38.31  10

Atomic structure:
```
data_BaMnO3
_cell_length_a 5.7331
_cell_length_b 5.7331
_cell_length_c 9.3984
_cell_angle_alpha 90.00
_cell_angle_beta 90.00
_cell_angle_gamma 120.00
_symmetry_space_group_name_H-M 'P 63/m m c'
_symmetry_Int_Tables_number 194
_symmetry_space_group_name_Hall '-P 6c 2c'
loop_
_atom_site_label
_atom_site_type_symbol
_atom_site_fract_x
_atom_site_fract_y
_atom_site_fract_z
Ba1 Ba 0.0000 0.0000 0.0000
Ba2 Ba 0.3333 0.6667 0.2500
Mn1 Mn 0.3333 0.6667 0.6124
O1 O 0.0000 0.5000 0.0000
O2 O 0.1879 0.3757 0.7500
```

***

For MnPtF6, a crystal structure in the Materials Project, relaxed with PBE+U gives the simulated PXRD pattern in this record (Cu Kα X-rays).
Lines closer than 0.1° are merged.

Peak list (10 most intense, 2θ = 5–70°, by intensity)
index  d/Å  Position (°2θ)  intensity
0 1 2  3.885  22.89  100
1 0 1  4.414  20.12  36
1 0 4  2.818  31.75  32
2 -1 6  1.773  51.54  27
1 1 0  2.682  33.41  20
2 -1 3  2.333  38.60  19
0 2 4  1.943  46.76  17
3 -2 2  1.704  53.79  17
0 0 3  4.726  18.77  14
3 -1 4  1.573  58.68  13

Atomic structure:
```
data_MnPtF6
_cell_length_a 5.3636
_cell_length_b 5.3636
_cell_length_c 14.1794
_cell_angle_alpha 90.00
_cell_angle_beta 90.00
_cell_angle_gamma 120.00
_symmetry_space_group_name_H-M 'R -3'
_symmetry_Int_Tables_number 148
_symmetry_space_group_name_Hall '-R 3'
loop_
_atom_site_label
_atom_site_type_symbol
_atom_site_fract_x
_atom_site_fract_y
_atom_site_fract_z
Mn1 Mn 0.0000 0.0000 0.0000
Pt1 Pt 0.0000 0.0000 0.5000
F1 F 0.0135 0.3895 0.2474
```

***

For MgMnCo3O8, a crystal structure in the Materials Project, relaxed with PBE+U gives the simulated PXRD pattern in this record (Cu Kα X-rays).
Lines closer than 0.1° are merged.

Peak list (10 most intense, 2θ = 5–70°, by intensity)
index  d/Å  Position (°2θ)  intensity
0 0 4  4.981  17.81  100
0 1 0  2.604  34.44  11
0 1 -4  2.359  38.15  11
0 1 4  2.259  39.90  10
1 0 5  2.086  43.38  9
1 0 -3  2.438  36.87  9
-1 1 3  2.399  37.49  8
-1 1 7  1.918  47.40  8
1 -1 1  2.530  35.49  8
0 0 8  2.490  36.08  8

Atomic structure:
```
data_MgMnCo3O8
_cell_length_a 2.9345
_cell_length_b 2.9904
_cell_length_c 19.9761
_cell_angle_alpha 91.25
_cell_angle_beta 92.80
_cell_angle_gamma 119.32
_symmetry_space_group_name_H-M 'P 1'
_symmetry_Int_Tables_number 1
loop_
_symmetry_equiv_pos_as_xyz
'x,y,z'
loop_
_atom_site_label
_atom_site_type_symbol
_atom_site_fract_x
_atom_site_fract_y
_atom_site_fract_z
Mg1 Mg 0.0000 0.0000 0.0000
Mn1 Mn 0.8377 0.7276 0.6189
Co1 Co 0.0941 0.7283 0.3703
Co2 Co 0.3564 0.6345 0.1284
Co3 Co 0.4068 0.6602 0.8568
O1 O 0.0383 0.9709 0.1698
O2 O 0.0423 0.9811 0.8184
O3 O 0.1446 0.3732 0.5716
O4 O 0.3011 0.6392 0.9457
O5 O 0.4508 0.4119 0.4147
O6 O 0.5306 0.0820 0.6663
O7 O 0.7026 0.3684 0.0627
O8 O 0.7374 0.0447 0.3259
```

***

For Li6Co3NiP6O24, a crystal structure in the Materials Project, relaxed with PBE+U gives the simulated PXRD pattern in this record (Cu Kα X-rays).
Lines closer than 0.1° are merged.

Peak list (10 most intense, 2θ = 5–70°, by intensity)
index  d/Å  Position (°2θ)  intensity
0 1 2  3.703  24.03  100
1 2 1  4.238  20.96  88
0 1 -1  4.399  20.19  74
1 2 0  3.679  24.19  68
-2 1 1  2.540  35.34  60
2 1 1  4.201  21.15  40
1 0 -2  2.853  31.36  32
2 1 0  3.664  24.29  32
1 2 3  2.697  33.22  31
0 1 1  6.116  14.48  30

Atomic structure:
```
data_Li6Co3NiP6O24
_cell_length_a 8.4129
_cell_length_b 8.4770
_cell_length_c 8.5054
_cell_angle_alpha 62.45
_cell_angle_beta 62.59
_cell_angle_gamma 62.81
_symmetry_space_group_name_H-M 'P 1'
_symmetry_Int_Tables_number 1
loop_
_symmetry_equiv_pos_as_xyz
'x,y,z'
loop_
_atom_site_label
_atom_site_type_symbol
_atom_site_fract_x
_atom_site_fract_y
_atom_site_fract_z
Li1 Li 0.0000 0.0000 0.0000
Li2 Li 0.0874 0.8828 0.5103
Li3 Li 0.1795 0.3902 0.4233
Li4 Li 0.3636 0.7389 0.1497
Li5 Li 0.6065 0.5740 0.8162
Li6 Li 0.8155 0.2402 0.6547
Co1 Co 0.1923 0.5843 0.0124
Co2 Co 0.4862 0.8777 0.2996
Co3 Co 0.6975 0.0930 0.5131
Ni1 Ni 0.9843 0.3780 0.8058
P1 P 0.0914 0.1822 0.2055
P2 P 0.2982 0.9808 0.6991
P3 P 0.3913 0.4833 0.6094
P4 P 0.5897 0.2739 0.1178
P5 P 0.7883 0.7818 0.9091
P6 P 0.8846 0.6925 0.4102
O1 O 0.0326 0.2057 0.0496
O2 O 0.0767 0.6631 0.2498
O3 O 0.1101 0.1445 0.7190
O4 O 0.1554 0.3439 0.1698
O5 O 0.2291 0.4278 0.6327
O6 O 0.2471 0.9872 0.2335
O7 O 0.2771 0.8234 0.8942
O8 O 0.3123 0.9266 0.5419
O9 O 0.3563 0.5423 0.7736
O10 O 0.3911 0.6539 0.4250
O11 O 0.4329 0.4692 0.0955
O12 O 0.4720 0.0279 0.6554
O13 O 0.5270 0.1144 0.1502
O14 O 0.5823 0.3284 0.5901
O15 O 0.5979 0.8033 0.0681
O16 O 0.6495 0.2371 0.2793
O17 O 0.7121 0.7424 0.3570
O18 O 0.7493 0.2891 0.9256
O19 O 0.7917 0.9676 0.7425
O20 O 0.8111 0.6227 0.8530
O21 O 0.8724 0.8504 0.4621
O22 O 0.8944 0.5012 0.5696
O23 O 0.9366 0.1638 0.4014
O24 O 0.9531 0.7428 0.9730
```

***

For Li9Mn2Co5O16, a crystal structure in the Materials Project, relaxed with PBE+U gives the simulated PXRD pattern in this record (Cu Kα X-rays).
Lines closer than 0.1° are merged.

Peak list (10 most intense, 2θ = 5–70°, by intensity)
index  d/Å  Position (°2θ)  intensity
1 0 -2  4.840  18.33  100
1 1 -6  2.046  44.27  51
2 0 4  2.171  41.60  29
0 1 4  2.469  36.38  25
1 0 6  2.595  34.56  16
3 1 -2  1.488  62.41  15
1 1 10  1.490  62.31  13
2 1 0  1.923  47.27  10
2 1 -8  1.583  58.29  9
0 0 2  9.699  9.12  8

Atomic structure:
```
data_Li9Mn2Co5O16
_cell_length_a 5.2265
_cell_length_b 2.8691
_cell_length_c 19.5647
_cell_angle_alpha 90.00
_cell_angle_beta 97.47
_cell_angle_gamma 90.00
_symmetry_space_group_name_H-M 'P 1 m 1'
_symmetry_Int_Tables_number 6
loop_
_symmetry_equiv_pos_as_xyz
'x,y,z'
'x,-y,z'
loop_
_atom_site_label
_atom_site_type_symbol
_atom_site_fract_x
_atom_site_fract_y
_atom_site_fract_z
Li1 Li 0.0000 0.0000 0.0000
Li2 Li 0.0043 0.0000 0.5019
Li3 Li 0.2392 0.5000 0.1224
Li4 Li 0.2535 0.5000 0.6296
Li5 Li 0.4905 0.0000 0.2465
Li6 Li 0.4966 0.5000 0.9995
Li7 Li 0.5059 0.0000 0.7542
Li8 Li 0.7462 0.5000 0.3744
Li9 Li 0.7576 0.5000 0.8768
Mn1 Mn 0.2413 0.0000 0.3727
Mn2 Mn 0.5057 0.5000 0.5033
Co1 Co 0.0129 0.5000 0.7549
Co2 Co 0.2793 0.0000 0.8843
Co3 Co 0.7121 0.0000 0.1161
Co4 Co 0.7690 0.0000 0.6295
Co5 Co 0.9848 0.5000 0.2464
O1 O 0.1014 0.0000 0.1929
O2 O 0.1259 0.5000 0.4299
O3 O 0.1282 0.0000 0.6938
O4 O 0.1292 0.5000 0.9327
O5 O 0.3544 0.5000 0.8175
O6 O 0.3634 0.5000 0.3171
O7 O 0.3836 0.0000 0.5584
O8 O 0.3985 0.0000 0.0682
O9 O 0.5948 0.0000 0.9318
O10 O 0.6172 0.0000 0.4445
O11 O 0.6413 0.5000 0.1813
O12 O 0.6581 0.5000 0.6853
O13 O 0.8659 0.5000 0.0693
O14 O 0.8691 0.5000 0.5723
O15 O 0.8798 0.0000 0.3032
O16 O 0.8927 0.0000 0.8096
```

***

For Na6TiMnSi6O18, a crystal structure in the Materials Project, relaxed with PBE+U gives the simulated PXRD pattern in this record (Cu Kα X-rays).
Lines closer than 0.1° are merged.

Peak list (10 most intense, 2θ = 5–70°, by intensity)
index  d/Å  Position (°2θ)  intensity
0 2 4  2.638  33.98  100
2 1 1  3.242  27.52  78
2 2 0  2.555  35.13  78
4 0 4  1.835  49.68  66
1 1 3  3.326  26.80  48
2 0 2  3.670  24.25  39
0 2 1  4.194  21.19  30
1 0 1  7.341  12.06  26
2 4 4  1.491  62.29  26
1 4 3  1.767  51.73  21

Atomic structure:
```
data_Na6TiMnSi6O18
_cell_length_a 10.2185
_cell_length_b 10.2185
_cell_length_c 13.1447
_cell_angle_alpha 90.00
_cell_angle_beta 90.00
_cell_angle_gamma 120.00
_symmetry_space_group_name_H-M 'R 3 m'
_symmetry_Int_Tables_number 160
_symmetry_space_group_name_Hall 'R 3 -2"'
loop_
_atom_site_label
_atom_site_type_symbol
_atom_site_fract_x
_atom_site_fract_y
_atom_site_fract_z
Na1 Na 0.0427 0.5213 0.0000
Na2 Na 0.1762 0.3523 0.8444
Ti1 Ti 0.0000 0.0000 0.0185
Mn1 Mn 0.0000 0.0000 0.7634
Si1 Si 0.0287 0.5143 0.2484
Si2 Si 0.1821 0.3642 0.1072
O1 O 0.0737 0.4058 0.1796
O2 O 0.0898 0.1795 0.0998
O3 O 0.1073 0.2147 0.6889
O4 O 0.1771 0.0886 0.9166
O5 O 0.2167 0.1083 0.3353
```